(1)
# RbSm2Br5
Theoretical X-ray powder pattern, copper Kα. Input: the PBE geometry in OQMD.
Neutral-atom scattering factors, no anomalous dispersion.

Most intense lines, 10 to 80 degrees two-theta, in order of rising 2θ:
2theta	Rel. int.
11.59	50
28.16	10
30.45	100
35.32	56
38.69	44
47.64	12
60.67	21
65.15	17
70.23	16
73.06	10

Crystal structure
a = 8.036 Å, b = 8.036 Å, c = 15.272 Å
α = 90.00°, β = 90.00°, γ = 90.00°
Space group I4/mcm (No. 140)
Symmetry-distinct sites (fractional):
Rb 0.000 0.000 0.250
Sm 0.146 0.354 0.000
Br 0.000 0.000 0.000
Br 0.150 0.350 0.370

=====

(2)
# Rb2ZnBr4
Theoretical X-ray powder pattern, copper Kα. Input: the PBE geometry in OQMD.
Neutral-atom scattering factors, no anomalous dispersion.

Most intense lines, 10 to 80 degrees two-theta, in order of rising 2θ:
2theta	Rel. int.
23.33	30
26.02	100
26.45	55
28.57	80
30.39	75
34.23	44
36.84	34
43.49	27
51.16	27
55.15	29

Crystal structure
a = 7.609 Å, b = 7.624 Å, c = 9.759 Å
α = 90.00°, β = 108.59°, γ = 90.00°
Space group P2_1/m (No. 11)
Symmetry-distinct sites (fractional):
Rb 0.213 0.250 0.047
Rb 0.284 0.250 0.575
Zn 0.213 0.750 0.793
Br 0.002 0.001 0.733
Br 0.378 0.750 0.051
Br 0.413 0.750 0.641

=====

(3)
# Rb2ZnBr4
Theoretical X-ray powder pattern, copper Kα. Input: the PBE geometry in OQMD.
Neutral-atom scattering factors, no anomalous dispersion.

Most intense lines, 10 to 80 degrees two-theta, in order of rising 2θ:
2theta	Rel. int.
22.67	50
23.29	55
25.98	67
27.73	100
28.26	41
29.97	75
30.16	67
30.26	64
33.43	46
55.95	42

Crystal structure
a = 7.638 Å, b = 9.927 Å, c = 15.672 Å
α = 90.00°, β = 118.91°, γ = 90.00°
Space group P2_1/c (No. 14)
Symmetry-distinct sites (fractional):
Rb 0.087 0.014 0.328
Rb 0.335 0.124 0.100
Zn 0.326 0.726 0.076
Br 0.106 0.677 0.633
Br 0.217 0.680 0.414
Br 0.331 0.018 0.583
Br 0.337 0.195 0.813

=====

(4)
# Rb2ZrZnBr6
Theoretical X-ray powder pattern, copper Kα. Input: the PBE geometry in OQMD.
Neutral-atom scattering factors, no anomalous dispersion.

Most intense lines, 10 to 80 degrees two-theta, in order of rising 2θ:
2theta	Rel. int.
13.11	14
15.15	23
21.49	26
26.39	70
30.57	100
40.05	12
43.78	68
51.85	25
54.34	22
72.24	25

Crystal structure
a = 11.697 Å, b = 11.697 Å, c = 11.697 Å
α = 90.00°, β = 90.00°, γ = 90.00°
Space group Fm-3m (No. 225)
Symmetry-distinct sites (fractional):
Rb 0.250 0.250 0.250
Zr 0.000 0.000 0.000
Zn 0.000 0.000 0.500
Br 0.000 0.000 0.227

=====

(5)
# Rb3ZrBr6
Theoretical X-ray powder pattern, copper Kα. Input: the PBE geometry in OQMD.
Neutral-atom scattering factors, no anomalous dispersion.

Most intense lines, 10 to 80 degrees two-theta, in order of rising 2θ:
2theta	Rel. int.
15.03	26
21.32	29
26.19	63
30.33	100
37.37	10
43.42	69
51.41	23
53.88	23
71.59	26
79.69	18

Crystal structure
a = 11.789 Å, b = 11.789 Å, c = 11.789 Å
α = 90.00°, β = 90.00°, γ = 90.00°
Space group Fm-3m (No. 225)
Symmetry-distinct sites (fractional):
Rb 0.000 0.000 0.000
Rb 0.250 0.250 0.250
Zr 0.000 0.000 0.500
Br 0.000 0.000 0.271

=====

(6)
# ReBr6
Theoretical X-ray powder pattern, copper Kα. Input: the PBE geometry in OQMD.
Neutral-atom scattering factors, no anomalous dispersion.

Most intense lines, 10 to 80 degrees two-theta, in order of rising 2θ:
2theta	Rel. int.
15.29	29
17.54	73
18.00	32
31.31	55
32.14	100
41.58	20
42.19	24
42.24	25
48.57	37
55.68	21

Crystal structure
a = 6.563 Å, b = 10.893 Å, c = 11.586 Å
α = 90.00°, β = 90.12°, γ = 90.00°
Space group C2/c (No. 15)
Symmetry-distinct sites (fractional):
Re 0.000 0.166 0.250
Br 0.148 0.327 0.374
Br 0.152 0.006 0.373
Br 0.190 0.334 0.869

=====

(7)
# Re3Se4Br
Theoretical X-ray powder pattern, copper Kα. Input: the PBE geometry in OQMD.
Neutral-atom scattering factors, no anomalous dispersion.

Most intense lines, 10 to 80 degrees two-theta, in order of rising 2θ:
2theta	Rel. int.
11.39	100
14.74	24
15.46	17
31.17	5
35.25	7
40.88	5
41.67	10
42.78	5
47.06	9
49.02	7

Crystal structure
a = 6.637 Å, b = 11.975 Å, c = 11.249 Å
α = 90.00°, β = 114.93°, γ = 90.00°
Space group P2_1/c (No. 14)
Symmetry-distinct sites (fractional):
Re 0.029 0.142 0.439
Re 0.037 0.066 0.659
Re 0.304 0.520 0.063
Se 0.234 0.716 0.972
Se 0.265 0.060 0.332
Se 0.303 0.591 0.274
Se 0.359 0.175 0.657
Br 0.096 0.148 0.888

=====

(8)
# Re3Se4Br
Theoretical X-ray powder pattern, copper Kα. Input: the PBE geometry in OQMD.
Neutral-atom scattering factors, no anomalous dispersion.

Most intense lines, 10 to 80 degrees two-theta, in order of rising 2θ:
2theta	Rel. int.
10.37	100
13.49	31
14.03	20
14.61	24
15.25	15
43.29	11
43.67	10
44.11	12
44.97	11
49.10	16

Crystal structure
a = 6.663 Å, b = 6.722 Å, c = 9.201 Å
α = 77.57°, β = 71.32°, γ = 86.10°
Space group P-1 (No. 2)
Symmetry-distinct sites (fractional):
Re 0.106 0.246 0.464
Re 0.151 0.624 0.292
Re 0.229 0.539 0.566
Se 0.031 0.335 0.204
Se 0.178 0.178 0.725
Se 0.281 0.896 0.397
Se 0.470 0.403 0.317
Br 0.350 0.787 0.013

=====

(9)
# ReTe2Br4
Theoretical X-ray powder pattern, copper Kα. Input: the PBE geometry in OQMD.
Neutral-atom scattering factors, no anomalous dispersion.

Most intense lines, 10 to 80 degrees two-theta, in order of rising 2θ:
2theta	Rel. int.
10.86	100
16.41	47
27.43	30
28.62	80
31.96	42
37.07	30
39.62	57
43.56	39
45.17	39
52.02	35

Crystal structure
a = 11.517 Å, b = 11.517 Å, c = 14.436 Å
α = 90.00°, β = 90.00°, γ = 90.00°
Space group I-4 (No. 82)
Symmetry-distinct sites (fractional):
Re 0.033 0.383 0.179
Te 0.053 0.317 0.352
Te 0.197 0.222 0.123
Br 0.045 0.835 0.160
Br 0.054 0.355 0.995
Br 0.113 0.169 0.577
Br 0.122 0.717 0.733